For CaNdDy, a cell relaxed with PBE gives the simulated XRD peak list in this record (Cu Kα (λ = 1.5418 Å)).
No peak broadening, texture or thermal motion is included.

Structural model:
a = 3.6683 Å, b = 3.6683 Å, c = 18.6139 Å
α = 90.00°, β = 90.00°, γ = 120.00°
Positions (direct):
Ca  0.0000  0.0000  0.0974
Ca  0.0000  0.0000  0.9026
Nd  0.3333  0.6667  0.5831
Nd  0.6667  0.3333  0.4169
Dy  0.3333  0.6667  0.2640
Dy  0.6667  0.3333  0.7360

Largest 10 diffraction maxima, low angle first, 2θ from 15° to 90°:
2θ/deg	I/Imax
28.50	32
28.78	32
29.72	18
31.64	100
34.17	35
49.71	25
52.82	20
57.37	13
58.46	26
60.13	16